# CrAuIF2
Computed powder XRD pattern, Cu Ka. Input: a GGA+U-relaxed structure.

Peak list (6 most intense, 2θ = 10–80°, by angle)
two_theta, I_rel, index
13.0, 100, 0 0 1
26.1, 72, 0 0 2
31.5, 57, 1 1 0
34.2, 77, 1 1 1
41.4, 55, 1 1 2
52.9, 39, 2 0 2

Cell and atoms:
Lattice parameters (Å, degrees): 4.013 4.013 6.831 90.00 90.00 90.00
Space group P4/mmm (No. 123)
Symmetry-distinct sites (fractional):
1 Cr 0.000 0.000 0.000 x1
2 Au 0.500 0.500 0.500 x1
3 I 0.000 0.000 0.500 x1
4 F 0.000 0.500 0.000 x2